Li4Zn2F9: calculated XRD peak list (a wavelength of 1.5418 Å), based on DFT lattice parameters and positions (GGA-PBE).

The 10 most intense peaks (10 to 90 degrees two-theta), low angle first:
| d (Å) | 2θ/deg | intensity | h k l |
| --- | --- | --- | --- |
| 4.425 | 20.06 | 100 | 1 0 0 |
| 3.737 | 23.81 | 18 | 1 0 2 |
| 2.740 | 32.69 | 46 | 0 1 4 |
| 2.239 | 40.27 | 38 | 1 1 3 |
| 2.213 | 40.78 | 14 | 2 0 0 |
| 2.060 | 43.94 | 29 | 1 1 4 |
| 1.869 | 48.73 | 22 | 2 0 4 |
| 1.720 | 53.26 | 28 | 1 1 6 |
| 1.508 | 61.48 | 18 | 1 2 4 |
| 1.475 | 63.01 | 20 | 3 0 0 |

Crystal structure
```
Li4Zn2F9
1.0
5.110 0.000 0.000
-2.555 4.425 0.000
0.000 0.000 13.955
Li Zn F
8 4 18
Direct
0.333 0.667 0.184 Li
0.333 0.667 0.484 Li
0.333 0.667 0.684 Li
0.333 0.667 0.984 Li
0.667 0.333 0.016 Li
0.667 0.333 0.316 Li
0.667 0.333 0.516 Li
0.667 0.333 0.816 Li
0.000 0.000 0.145 Zn
0.000 0.000 0.355 Zn
0.000 0.000 0.645 Zn
0.000 0.000 0.855 Zn
0.000 0.299 0.250 F
0.000 0.701 0.750 F
0.025 0.357 0.584 F
0.025 0.668 0.084 F
0.299 0.000 0.250 F
0.299 0.299 0.750 F
0.332 0.357 0.084 F
0.332 0.975 0.584 F
0.357 0.025 0.916 F
0.357 0.332 0.416 F
0.643 0.668 0.584 F
0.643 0.975 0.084 F
0.668 0.025 0.416 F
0.668 0.643 0.916 F
0.701 0.000 0.750 F
0.701 0.701 0.250 F
0.975 0.332 0.916 F
0.975 0.643 0.416 F
```